1.
Sm4ThSi4: theoretical powder diffractogram (copper Kα), based on a PBE-relaxed structure.
No peak broadening, texture or thermal motion is included.

Crystal structure
Cell lengths 9.138, 9.138, 5.893 Å; angles 90.00, 90.00, 90.00 degrees
Element x y z (fractional)
Sm: 0.061 0.668 0.126
Sm: 0.168 0.939 0.626
Sm: 0.332 0.561 0.626
Sm: 0.439 0.832 0.126
Sm: 0.561 0.168 0.874
Sm: 0.668 0.439 0.374
Sm: 0.832 0.061 0.374
Sm: 0.939 0.332 0.874
Th: 0.250 0.250 0.250
Th: 0.750 0.750 0.750
Si: 0.020 0.613 0.618
Si: 0.113 0.980 0.118
Si: 0.387 0.520 0.118
Si: 0.480 0.887 0.618
Si: 0.520 0.113 0.382
Si: 0.613 0.480 0.882
Si: 0.887 0.020 0.882
Si: 0.980 0.387 0.382

Most intense lines, 2θ = 10–80°, by angle:
two_theta, Rel. int.
24.66, 17
26.54, 100
30.95, 75
31.91, 31
34.57, 15
37.64, 14
44.33, 25
47.32, 23
51.61, 18
52.42, 28

---

2.
SrCaSn6: theoretical powder diffractogram (copper Kα), based on a PBE-relaxed structure.
No peak broadening, texture or thermal motion is included.

Crystal structure
Cell lengths 5.847, 6.761, 11.706 Å; angles 90.00, 90.00, 90.00 degrees
Element x y z (fractional)
Sr: 0.000 0.000 0.000
Sr: 0.000 0.500 0.500
Ca: 0.500 0.000 0.667
Ca: 0.500 0.500 0.167
Sn: 0.000 0.000 0.488
Sn: 0.000 0.231 0.256
Sn: 0.000 0.269 0.756
Sn: 0.000 0.500 0.988
Sn: 0.000 0.731 0.756
Sn: 0.000 0.769 0.256
Sn: 0.500 0.000 0.182
Sn: 0.500 0.228 0.410
Sn: 0.500 0.272 0.910
Sn: 0.500 0.500 0.682
Sn: 0.500 0.728 0.910
Sn: 0.500 0.772 0.410

Most intense lines, 2θ = 10–80°, by angle:
two_theta, Rel. int.
15.13, 11
30.56, 53
34.26, 100
43.76, 22
54.28, 16
56.75, 25
63.60, 28
65.78, 14
72.21, 6
78.35, 4

---

3.
La6GaTe5: theoretical powder diffractogram (copper Kα), based on a PBE-relaxed structure.
No peak broadening, texture or thermal motion is included.

Crystal structure
Cell lengths 7.916, 7.916, 7.918 Å; angles 99.60, 99.60, 119.81 degrees
Element x y z (fractional)
La: 0.079 0.398 0.739
La: 0.236 0.236 0.257
La: 0.398 0.079 0.739
La: 0.602 0.921 0.261
La: 0.764 0.764 0.743
La: 0.921 0.602 0.261
Ga: 0.000 0.000 0.500
Te: 0.173 0.827 0.000
Te: 0.335 0.665 0.500
Te: 0.500 0.500 0.000
Te: 0.665 0.335 0.500
Te: 0.827 0.173 0.000

Most intense lines, 2θ = 10–80°, by angle:
two_theta, Rel. int.
27.58, 100
39.38, 63
39.47, 12
48.64, 7
48.81, 20
56.94, 12
64.34, 17
64.48, 17
71.27, 6
71.48, 14

---

4.
Na8I5O: theoretical powder diffractogram (copper Kα), based on a PBE-relaxed structure.
No peak broadening, texture or thermal motion is included.

Crystal structure
Cell lengths 9.090, 9.090, 9.090 Å; angles 60.00, 60.00, 60.00 degrees
Element x y z (fractional)
Na: 0.336 0.888 0.888
Na: 0.402 0.402 0.402
Na: 0.402 0.402 0.795
Na: 0.402 0.795 0.402
Na: 0.795 0.402 0.402
Na: 0.888 0.336 0.888
Na: 0.888 0.888 0.336
Na: 0.888 0.888 0.888
I: 0.130 0.130 0.130
I: 0.130 0.130 0.611
I: 0.130 0.611 0.130
I: 0.611 0.130 0.130
I: 0.750 0.750 0.750
O: 0.500 0.500 0.500

Most intense lines, 2θ = 10–80°, by angle:
two_theta, Rel. int.
11.92, 25
22.95, 100
23.98, 26
27.76, 33
30.31, 15
36.31, 40
39.66, 56
46.88, 16
54.86, 27
71.97, 15